[1]
Starting from the GGA+U geometry in the Materials Project, the powder X-ray diffraction pattern of HfMg14WO16 was calculated for a wavelength of 1.5418 Å.
Lines closer than 0.1° are merged.

Structural model:
Unit cell a=4.347 b=8.714 c=8.720 alpha=90.00 beta=90.00 gamma=90.00
Space group Pmmm (No. 47)
One atom of each set of equivalent atoms:
Hf: 0.000 0.000 0.000
Mg: 0.000 0.000 0.500
Mg: 0.000 0.256 0.257
Mg: 0.000 0.500 0.500
Mg: 0.500 0.000 0.258
Mg: 0.500 0.250 0.500
Mg: 0.500 0.255 0.000
Mg: 0.500 0.500 0.258
W: 0.000 0.500 0.000
O: 0.000 0.000 0.256
O: 0.000 0.239 0.000
O: 0.000 0.248 0.500
O: 0.000 0.500 0.266
O: 0.500 0.000 0.000
O: 0.500 0.000 0.500
O: 0.500 0.250 0.250
O: 0.500 0.500 0.000
O: 0.500 0.500 0.500

The 8 most intense peaks (10 to 90 degrees two-theta), by intensity:
two_theta	I_rel	hkl
10.1	100	0 0 1
41.4	80	0 4 0
20.4	73	0 0 2
60.1	72	2 4 0
22.8	72	1 0 1
29.0	63	0 2 2
35.7	53	1 2 2
30.8	48	0 0 3


[2]
Starting from the GGA+U geometry in the Materials Project, the powder X-ray diffraction pattern of SrNdHfMnO6 was calculated for a wavelength of 1.5418 Å.
Lines closer than 0.1° are merged.

Structural model:
Unit cell a=8.074 b=8.074 c=8.074 alpha=90.00 beta=90.00 gamma=90.00
Space group F-43m (No. 216)
One atom of each set of equivalent atoms:
Sr: 0.000 0.000 0.000
Nd: 0.000 0.000 0.500
Hf: 0.250 0.250 0.750
Mn: 0.250 0.250 0.250
O: 0.003 0.250 0.250

The 8 most intense peaks (10 to 90 degrees two-theta), by intensity:
two_theta	I_rel	hkl
31.3	100	2 2 0
55.8	40	4 2 2
44.9	31	4 0 0
19.0	20	1 1 1
65.4	19	4 4 0
74.3	17	6 2 0
36.9	12	3 1 1
82.8	6	4 4 4